Structure and computed PXRD pattern of Lu2ScIn3Pt2 (a cell relaxed with GGA-PBE; Cu Kα (λ = 1.5418 Å)).
Neutral-atom scattering factors, no anomalous dispersion.

The 10 most intense peaks (10 to 90 degrees two-theta), low angle first:
2θ = 13.41°, rel. 40; 2θ = 34.90°, rel. 100; 2θ = 36.01°, rel. 57; 2θ = 36.11°, rel. 22; 2θ = 37.55°, rel. 69; 2θ = 41.11°, rel. 19; 2θ = 44.67°, rel. 15; 2θ = 52.50°, rel. 16; 2θ = 65.33°, rel. 27; 2θ = 70.93°, rel. 20

Atomic structure:
```
data_Lu2ScIn3Pt2
_chemical_formula_sum 'Lu2 Sc1 In3 Pt2'
_symmetry_space_group_name_H-M 'P 1'
_symmetry_Int_Tables_number 1
_cell_length_a 3.486
_cell_length_b 7.620
_cell_length_c 7.620
_cell_angle_alpha 120.19
_cell_angle_beta 90.00
_cell_angle_gamma 90.00
loop_
_symmetry_equiv_pos_as_xyz
'x,y,z'
loop_
_atom_site_label
_atom_site_type_symbol
_atom_site_fract_x
_atom_site_fract_y
_atom_site_fract_z
Lu1 Lu 0.000 0.211 0.789
Lu2 Lu 0.000 0.789 0.211
Sc1 Sc 0.000 0.634 0.634
In1 In 0.500 0.215 0.443
In2 In 0.500 0.443 0.215
In3 In 0.500 0.974 0.974
Pt1 Pt 0.500 0.545 0.873
Pt2 Pt 0.500 0.873 0.545
```

=====

Structure and computed PXRD pattern of Zn2InCo (a cell relaxed with GGA-PBE; Cu Kα (λ = 1.5418 Å)).
Neutral-atom scattering factors, no anomalous dispersion.

The 10 most intense peaks (10 to 90 degrees two-theta), low angle first:
2θ = 24.86°, rel. 5; 2θ = 28.79°, rel. 4; 2θ = 41.17°, rel. 100; 2θ = 48.69°, rel. 3; 2θ = 51.01°, rel. 1; 2θ = 59.63°, rel. 16; 2θ = 65.61°, rel. 1; 2θ = 67.54°, rel. 1; 2θ = 75.02°, rel. 31; 2θ = 89.36°, rel. 10

Atomic structure:
```
data_Zn2InCo
_chemical_formula_sum 'Zn2 In1 Co1'
_symmetry_space_group_name_H-M 'P 1'
_symmetry_Int_Tables_number 1
_cell_length_a 4.386
_cell_length_b 4.386
_cell_length_c 4.386
_cell_angle_alpha 60.00
_cell_angle_beta 60.00
_cell_angle_gamma 60.00
loop_
_symmetry_equiv_pos_as_xyz
'x,y,z'
loop_
_atom_site_label
_atom_site_type_symbol
_atom_site_fract_x
_atom_site_fract_y
_atom_site_fract_z
Zn1 Zn 0.000 0.000 0.000
Zn2 Zn 0.250 0.250 0.250
In1 In 0.750 0.750 0.750
Co1 Co 0.500 0.500 0.500
```

=====

Structure and computed PXRD pattern of Dy2Sc2CBr3Cl2 (a cell relaxed with GGA-PBE; Cu Kα (λ = 1.5418 Å)).
Neutral-atom scattering factors, no anomalous dispersion.

The 10 most intense peaks (10 to 90 degrees two-theta), low angle first:
2θ = 11.74°, rel. 42; 2θ = 17.68°, rel. 34; 2θ = 22.11°, rel. 40; 2θ = 30.09°, rel. 36; 2θ = 32.65°, rel. 41; 2θ = 32.98°, rel. 48; 2θ = 33.57°, rel. 100; 2θ = 37.39°, rel. 18; 2θ = 39.83°, rel. 20; 2θ = 47.53°, rel. 50

Atomic structure:
```
data_Dy2Sc2CBr3Cl2
_chemical_formula_sum 'Dy2 Sc2 C1 Br3 Cl2'
_symmetry_space_group_name_H-M 'P 1'
_symmetry_Int_Tables_number 1
_cell_length_a 8.653
_cell_length_b 8.653
_cell_length_c 7.748
_cell_angle_alpha 102.97
_cell_angle_beta 102.97
_cell_angle_gamma 24.58
loop_
_symmetry_equiv_pos_as_xyz
'x,y,z'
loop_
_atom_site_label
_atom_site_type_symbol
_atom_site_fract_x
_atom_site_fract_y
_atom_site_fract_z
Dy1 Dy 0.143 0.143 0.072
Dy2 Dy 0.857 0.857 0.928
Sc1 Sc 0.499 0.499 0.193
Sc2 Sc 0.501 0.501 0.807
C1 C 0.000 0.000 0.000
Br1 Br 0.000 0.000 0.500
Br2 Br 0.336 0.336 0.648
Br3 Br 0.664 0.664 0.352
Cl1 Cl 0.334 0.334 0.171
Cl2 Cl 0.666 0.666 0.829
```